1.
Diffraction record for CaFeO2. The powder diffraction line list is simulated, not measured: it uses DFT lattice parameters and positions (GGA+U) and a wavelength of 1.5418 Å.
No peak broadening, texture or thermal motion is included.

Principal peaks in the range 2θ from 15° to 90°, low angle first:
- 2θ 20.25, intensity 99.4
- 2θ 30.16, intensity 75.1
- 2θ 32.10, intensity 78.5
- 2θ 33.59, intensity 68.2
- 2θ 35.19, intensity 84.1
- 2θ 38.05, intensity 100.0

Cell and atoms:
Unit cell a=3.327 b=8.259 c=8.800 alpha=85.38 beta=89.36 gamma=84.20
Atoms (fractional coordinates):
Ca 0.129 0.400 0.272
Ca 0.186 0.198 0.961
Ca 0.814 0.802 0.039
Ca 0.871 0.600 0.728
Fe 0.317 0.915 0.731
Fe 0.345 0.760 0.361
Fe 0.655 0.240 0.639
Fe 0.683 0.085 0.269
O 0.153 0.341 0.725
O 0.248 0.966 0.178
O 0.320 0.751 0.581
O 0.339 0.706 0.893
O 0.661 0.294 0.107
O 0.680 0.249 0.419
O 0.752 0.034 0.822
O 0.847 0.659 0.275

---

2.
Diffraction record for VF5. The powder diffraction line list is simulated, not measured: it uses DFT lattice parameters and positions (GGA+U) and a wavelength of 1.5418 Å.
No peak broadening, texture or thermal motion is included.

Principal peaks in the range 2θ from 15° to 90°, low angle first:
- 2θ 18.24, intensity 100.0
- 2θ 20.44, intensity 13.9
- 2θ 23.36, intensity 17.0
- 2θ 24.52, intensity 45.2
- 2θ 24.72, intensity 23.2
- 2θ 27.05, intensity 19.8

Cell and atoms:
Unit cell a=7.214 b=6.591 c=8.701 alpha=90.00 beta=92.97 gamma=90.00
Atoms (fractional coordinates):
V 0.246 0.219 0.432
V 0.246 0.281 0.932
V 0.754 0.719 0.068
V 0.754 0.781 0.568
F 0.015 0.212 0.356
F 0.015 0.288 0.856
F 0.218 0.017 0.954
F 0.218 0.483 0.454
F 0.246 0.152 0.626
F 0.246 0.348 0.126
F 0.273 0.526 0.853
F 0.273 0.974 0.353
F 0.477 0.234 0.885
F 0.477 0.266 0.385
F 0.523 0.734 0.615
F 0.523 0.766 0.115
F 0.727 0.026 0.647
F 0.727 0.474 0.147
F 0.754 0.652 0.874
F 0.754 0.848 0.374
F 0.782 0.517 0.546
F 0.782 0.983 0.046
F 0.985 0.712 0.144
F 0.985 0.788 0.644

---

- Number 2 is which compound?
  VF5